1.
Simulated X-ray powder pattern
Compound: TeHRh2
Radiation: Cu Kα (weighted mean of Kα1 and Kα2)
Structure: a crystal structure in Alexandria, relaxed with GGA-PBE
Peak positions follow from Bragg's law for the DFT cell and can differ from measured ones.

Atomic structure:
```
data_TeHRh2
_chemical_formula_sum 'Te3 H3 Rh6'
_space_group_name_H-M_alt 'R -3 m'
_space_group_IT_number 166
_space_group_name_Hall '-R 3 2"'
_cell_length_a 4.4521
_cell_length_b 4.4521
_cell_length_c 13.1707
_cell_angle_alpha 90.00
_cell_angle_beta 90.00
_cell_angle_gamma 120.00
loop_
_atom_site_label
_atom_site_type_symbol
_atom_site_fract_x
_atom_site_fract_y
_atom_site_fract_z
Te1 Te 0.0000 0.0000 0.0000
H1 H 0.0000 0.0000 0.5000
Rh1 Rh 0.0000 0.0000 0.3731
```

Main lines, most intense first (2θ from 10° to 90°):
hkl 0 0 3, d = 4.390 Å, rel. 100; hkl 1 1 0, d = 2.226 Å, rel. 72; hkl 1 1 3, d = 1.985 Å, rel. 69; hkl 0 1 5, d = 2.175 Å, rel. 41; hkl 0 1 2, d = 3.327 Å, rel. 28; hkl 0 1 8, d = 1.514 Å, rel. 21; hkl 1 2 8, d = 1.091 Å, rel. 15; hkl 3 0 3, d = 1.233 Å, rel. 14; hkl 1 2 5, d = 1.275 Å, rel. 14; hkl 2 0 5, d = 1.556 Å, rel. 14


2.
Simulated X-ray powder pattern
Compound: Ti4HRh
Radiation: Cu Kα (weighted mean of Kα1 and Kα2)
Structure: a crystal structure in Alexandria, relaxed with GGA-PBE
Peak positions follow from Bragg's law for the DFT cell and can differ from measured ones.

Atomic structure:
```
data_Ti4HRh
_chemical_formula_sum 'Ti8 H2 Rh2'
_space_group_name_H-M_alt 'P 1 21/c 1'
_space_group_IT_number 14
_cell_length_a 5.349
_cell_length_b 5.112
_cell_length_c 6.509
_cell_angle_alpha 90.00
_cell_angle_beta 105.42
_cell_angle_gamma 90.00
loop_
_space_group_symop_operation_xyz
'x,y,z'
'-x,-y,-z'
'-x,y+1/2,-z+1/2'
'x,-y+1/2,z+1/2'
loop_
_atom_site_label
_atom_site_type_symbol
_atom_site_fract_x
_atom_site_fract_y
_atom_site_fract_z
Ti1 Ti 0.090 0.139 0.197
Ti2 Ti 0.332 0.605 0.122
H1 H 0.000 0.000 0.500
Rh1 Rh 0.500 0.000 0.000
```

Main lines, most intense first (2θ from 10° to 90°):
hkl 2 1 -1, d = 2.349 Å, rel. 100; hkl 1 0 2, d = 2.411 Å, rel. 77; hkl 1 1 -3, d = 1.980 Å, rel. 76; hkl 0 2 1, d = 2.367 Å, rel. 42; hkl 0 1 1, d = 3.963 Å, rel. 35; hkl 1 0 0, d = 5.156 Å, rel. 33; hkl 1 1 -1, d = 3.433 Å, rel. 31; hkl 1 2 0, d = 2.290 Å, rel. 28; hkl 1 1 -2, d = 2.630 Å, rel. 24; hkl 3 1 1, d = 1.488 Å, rel. 22


3.
Simulated X-ray powder pattern
Compound: TiHRh3
Radiation: Cu Kα (weighted mean of Kα1 and Kα2)
Structure: a crystal structure in Alexandria, relaxed with GGA-PBE
Peak positions follow from Bragg's law for the DFT cell and can differ from measured ones.

Atomic structure:
```
data_TiHRh3
_chemical_formula_sum 'Ti4 H4 Rh12'
_space_group_name_H-M_alt 'I m m m'
_space_group_IT_number 71
_space_group_name_Hall '-I 2 2'
_cell_length_a 5.488
_cell_length_b 5.492
_cell_length_c 7.890
_cell_angle_alpha 90.00
_cell_angle_beta 90.00
_cell_angle_gamma 90.00
loop_
_atom_site_label
_atom_site_type_symbol
_atom_site_fract_x
_atom_site_fract_y
_atom_site_fract_z
Ti1 Ti 0.000 0.000 0.235
H1 H 0.000 0.000 0.500
H2 H 0.000 0.500 0.000
Rh1 Rh 0.000 0.500 0.252
Rh2 Rh 0.249 0.254 0.500
```

Main lines, most intense first (2θ from 10° to 90°):
hkl 2 0 2, d = 2.253 Å, rel. 100; hkl 2 2 0, d = 1.941 Å, rel. 32; hkl 4 2 2, d = 1.172 Å, rel. 23; hkl 2 2 4, d = 1.383 Å, rel. 20; hkl 0 0 4, d = 1.972 Å, rel. 17; hkl 2 0 6, d = 1.186 Å, rel. 12; hkl 4 0 4, d = 1.127 Å, rel. 10; hkl 4 0 0, d = 1.372 Å, rel. 10; hkl 1 1 0, d = 3.882 Å, rel. 6; hkl 1 1 2, d = 2.767 Å, rel. 5


4.
Simulated X-ray powder pattern
Compound: Tm4H6Rh7
Radiation: Cu Kα (weighted mean of Kα1 and Kα2)
Structure: a crystal structure in Alexandria, relaxed with GGA-PBE
Peak positions follow from Bragg's law for the DFT cell and can differ from measured ones.

Atomic structure:
```
data_Tm4H6Rh7
_chemical_formula_sum 'Tm8 H12 Rh14'
_space_group_name_H-M_alt 'I m -3 m'
_space_group_IT_number 229
_space_group_name_Hall '-I 4 2 3'
_cell_length_a 7.744
_cell_length_b 7.744
_cell_length_c 7.744
_cell_angle_alpha 90.00
_cell_angle_beta 90.00
_cell_angle_gamma 90.00
loop_
_atom_site_label
_atom_site_type_symbol
_atom_site_fract_x
_atom_site_fract_y
_atom_site_fract_z
Tm1 Tm 0.250 0.250 0.250
H1 H 0.000 0.000 0.221
Rh1 Rh 0.000 0.000 0.000
Rh2 Rh 0.000 0.250 0.500
```

Main lines, most intense first (2θ from 10° to 90°):
hkl 2 2 2, d = 2.236 Å, rel. 100; hkl 4 0 0, d = 1.936 Å, rel. 67; hkl 2 2 0, d = 2.738 Å, rel. 58; hkl 2 1 1, d = 3.162 Å, rel. 54; hkl 4 4 0, d = 1.369 Å, rel. 42; hkl 6 2 2, d = 1.168 Å, rel. 37; hkl 3 2 1, d = 2.070 Å, rel. 32; hkl 2 0 0, d = 3.872 Å, rel. 26; hkl 4 2 2, d = 1.581 Å, rel. 23; hkl 4 4 4, d = 1.118 Å, rel. 15


5.
Simulated X-ray powder pattern
Compound: TmHRh
Radiation: Cu Kα (weighted mean of Kα1 and Kα2)
Structure: a crystal structure in Alexandria, relaxed with GGA-PBE
Peak positions follow from Bragg's law for the DFT cell and can differ from measured ones.

Atomic structure:
```
data_TmHRh
_chemical_formula_sum 'Tm16 H16 Rh16'
_space_group_name_H-M_alt 'C 1 2 1'
_space_group_IT_number 5
_cell_length_a 7.989
_cell_length_b 7.500
_cell_length_c 12.164
_cell_angle_alpha 90.00
_cell_angle_beta 91.69
_cell_angle_gamma 90.00
loop_
_space_group_symop_operation_xyz
'x,y,z'
'-x,y,-z'
'x+1/2,y+1/2,z'
'-x+1/2,y+1/2,-z'
loop_
_atom_site_label
_atom_site_type_symbol
_atom_site_fract_x
_atom_site_fract_y
_atom_site_fract_z
Tm1 Tm 0.000 0.000 0.000
Tm2 Tm 0.000 0.197 0.500
Tm3 Tm 0.052 0.259 0.772
Tm4 Tm 0.144 0.578 0.379
Tm5 Tm 0.163 0.668 0.851
H1 H 0.000 0.473 0.500
H2 H 0.000 0.637 0.000
H3 H 0.086 0.524 0.706
H4 H 0.166 0.247 0.007
H5 H 0.170 0.270 0.625
Rh1 Rh 0.000 0.397 0.000
Rh2 Rh 0.000 0.850 0.500
Rh3 Rh 0.022 0.927 0.277
Rh4 Rh 0.175 0.730 0.094
Rh5 Rh 0.240 0.701 0.641
```

Main lines, most intense first (2θ from 10° to 90°):
hkl 3 1 0, d = 2.509 Å, rel. 100; hkl 2 0 -4, d = 2.454 Å, rel. 95; hkl 2 2 -1, d = 2.679 Å, rel. 87; hkl 1 1 4, d = 2.634 Å, rel. 69; hkl 1 3 1, d = 2.337 Å, rel. 60; hkl 2 0 4, d = 2.385 Å, rel. 55; hkl 1 3 -2, d = 2.228 Å, rel. 52; hkl 0 2 4, d = 2.361 Å, rel. 45; hkl 0 2 3, d = 2.753 Å, rel. 44; hkl 0 2 0, d = 3.750 Å, rel. 43


6.
Simulated X-ray powder pattern
Compound: TmH8Rh2
Radiation: Cu Kα (weighted mean of Kα1 and Kα2)
Structure: a crystal structure in Alexandria, relaxed with GGA-PBE
Peak positions follow from Bragg's law for the DFT cell and can differ from measured ones.

Atomic structure:
```
data_TmH8Rh2
_chemical_formula_sum 'Tm2 H16 Rh4'
_space_group_name_H-M_alt 'C m m m'
_space_group_IT_number 65
_space_group_name_Hall '-C 2 2'
_cell_length_a 5.510
_cell_length_b 9.563
_cell_length_c 3.638
_cell_angle_alpha 90.00
_cell_angle_beta 90.00
_cell_angle_gamma 90.00
loop_
_atom_site_label
_atom_site_type_symbol
_atom_site_fract_x
_atom_site_fract_y
_atom_site_fract_z
Tm1 Tm 0.000 0.000 0.000
H1 H 0.000 0.233 0.000
H2 H 0.000 0.500 0.106
H3 H 0.237 0.369 0.500
Rh1 Rh 0.000 0.227 0.500
```

Main lines, most intense first (2θ from 10° to 90°):
hkl 0 2 1, d = 2.895 Å, rel. 100; hkl 1 1 0, d = 4.774 Å, rel. 77; hkl 2 2 1, d = 1.996 Å, rel. 54; hkl 2 0 0, d = 2.755 Å, rel. 39; hkl 2 4 0, d = 1.806 Å, rel. 37; hkl 1 3 1, d = 2.198 Å, rel. 35; hkl 2 4 2, d = 1.282 Å, rel. 24; hkl 0 4 0, d = 2.391 Å, rel. 20; hkl 0 6 1, d = 1.459 Å, rel. 16; hkl 2 0 2, d = 1.518 Å, rel. 13


7.
Simulated X-ray powder pattern
Compound: UH2Rh4
Radiation: Cu Kα (weighted mean of Kα1 and Kα2)
Structure: a crystal structure in Alexandria, relaxed with GGA-PBE
Peak positions follow from Bragg's law for the DFT cell and can differ from measured ones.

Atomic structure:
```
data_UH2Rh4
_chemical_formula_sum 'U2 H4 Rh8'
_space_group_name_H-M_alt 'P 1'
_space_group_IT_number 1
_cell_length_a 5.030
_cell_length_b 5.583
_cell_length_c 7.415
_cell_angle_alpha 81.22
_cell_angle_beta 70.21
_cell_angle_gamma 63.23
loop_
_space_group_symop_operation_xyz
'x,y,z'
loop_
_atom_site_label
_atom_site_type_symbol
_atom_site_fract_x
_atom_site_fract_y
_atom_site_fract_z
U1 U 0.000 0.000 0.000
U2 U 0.250 0.501 0.500
H1 H 0.465 0.768 0.274
H2 H 0.483 0.732 0.775
H3 H 0.508 0.232 0.725
H4 H 0.990 0.269 0.225
Rh1 Rh 0.142 0.409 0.911
Rh2 Rh 0.303 0.910 0.588
Rh3 Rh 0.419 0.099 0.202
Rh4 Rh 0.463 0.591 0.088
Rh5 Rh 0.720 0.901 0.798
Rh6 Rh 0.768 0.402 0.701
Rh7 Rh 0.801 0.091 0.411
Rh8 Rh 0.871 0.599 0.298
```

Main lines, most intense first (2θ from 10° to 90°):
hkl 1 1 3, d = 2.370 Å, rel. 100; hkl 2 2 1, d = 2.245 Å, rel. 62; hkl 1 2 -1, d = 2.382 Å, rel. 36; hkl 1 2 3, d = 1.967 Å, rel. 34; hkl 0 2 0, d = 2.492 Å, rel. 21; hkl 0 2 1, d = 2.347 Å, rel. 21; hkl 1 1 0, d = 4.275 Å, rel. 19; hkl 0 1 -1, d = 4.056 Å, rel. 15; hkl 1 2 1, d = 2.720 Å, rel. 14; hkl 3 2 4, d = 1.423 Å, rel. 14


8.
Simulated X-ray powder pattern
Compound: UH8Rh4
Radiation: Cu Kα (weighted mean of Kα1 and Kα2)
Structure: a crystal structure in Alexandria, relaxed with GGA-PBE
Peak positions follow from Bragg's law for the DFT cell and can differ from measured ones.

Atomic structure:
```
data_UH8Rh4
_chemical_formula_sum 'U2 H16 Rh8'
_space_group_name_H-M_alt 'C 1 2/m 1'
_space_group_IT_number 12
_cell_length_a 9.955
_cell_length_b 5.840
_cell_length_c 5.779
_cell_angle_alpha 90.00
_cell_angle_beta 124.64
_cell_angle_gamma 90.00
loop_
_space_group_symop_operation_xyz
'x,y,z'
'-x,-y,-z'
'-x,y,-z'
'x,-y,z'
'x+1/2,y+1/2,z'
'-x+1/2,-y+1/2,-z'
'-x+1/2,y+1/2,-z'
'x+1/2,-y+1/2,z'
loop_
_atom_site_label
_atom_site_type_symbol
_atom_site_fract_x
_atom_site_fract_y
_atom_site_fract_z
U1 U 0.000 0.000 0.000
H1 H 0.020 0.266 0.709
H2 H 0.212 0.500 0.756
H3 H 0.225 0.000 0.777
Rh1 Rh 0.000 0.000 0.500
Rh2 Rh 0.000 0.500 0.500
Rh3 Rh 0.250 0.250 0.000
```

Main lines, most intense first (2θ from 10° to 90°):
hkl 2 2 0, d = 2.377 Å, rel. 100; hkl 1 1 0, d = 4.755 Å, rel. 71; hkl 2 0 0, d = 4.103 Å, rel. 51; hkl 2 2 -2, d = 2.054 Å, rel. 46; hkl 4 0 -2, d = 2.345 Å, rel. 32; hkl 3 1 0, d = 2.477 Å, rel. 28; hkl 4 0 0, d = 2.047 Å, rel. 23; hkl 1 1 1, d = 2.917 Å, rel. 22; hkl 2 0 -1, d = 4.689 Å, rel. 22; hkl 6 2 -2, d = 1.443 Å, rel. 22


9.
Simulated X-ray powder pattern
Compound: UH11Rh5
Radiation: Cu Kα (weighted mean of Kα1 and Kα2)
Structure: a crystal structure in Alexandria, relaxed with GGA-PBE
Peak positions follow from Bragg's law for the DFT cell and can differ from measured ones.

Atomic structure:
```
data_UH11Rh5
_chemical_formula_sum 'U2 H22 Rh10'
_space_group_name_H-M_alt 'C 1 2/m 1'
_space_group_IT_number 12
_cell_length_a 5.795
_cell_length_b 11.274
_cell_length_c 4.579
_cell_angle_alpha 90.00
_cell_angle_beta 90.86
_cell_angle_gamma 90.00
loop_
_space_group_symop_operation_xyz
'x,y,z'
'-x,-y,-z'
'-x,y,-z'
'x,-y,z'
'x+1/2,y+1/2,z'
'-x+1/2,-y+1/2,-z'
'-x+1/2,y+1/2,-z'
'x+1/2,-y+1/2,z'
loop_
_atom_site_label
_atom_site_type_symbol
_atom_site_fract_x
_atom_site_fract_y
_atom_site_fract_z
U1 U 0.000 0.000 0.000
H1 H 0.000 0.000 0.500
H2 H 0.080 0.500 0.377
H3 H 0.144 0.236 0.320
H4 H 0.180 0.372 0.076
Rh1 Rh 0.000 0.500 0.000
Rh2 Rh 0.250 0.125 0.540
```

Main lines, most intense first (2θ from 10° to 90°):
hkl 0 4 1, d = 2.400 Å, rel. 100; hkl 0 2 0, d = 5.637 Å, rel. 84; hkl 2 4 0, d = 2.020 Å, rel. 65; hkl 0 2 1, d = 3.554 Å, rel. 59; hkl 2 0 -1, d = 2.465 Å, rel. 56; hkl 2 0 1, d = 2.432 Å, rel. 51; hkl 0 0 2, d = 2.289 Å, rel. 40; hkl 2 2 0, d = 2.577 Å, rel. 26; hkl 2 4 -2, d = 1.523 Å, rel. 22; hkl 2 4 2, d = 1.507 Å, rel. 22


10.
Simulated X-ray powder pattern
Compound: V2HRh8
Radiation: Cu Kα (weighted mean of Kα1 and Kα2)
Structure: a crystal structure in Alexandria, relaxed with GGA-PBE
Peak positions follow from Bragg's law for the DFT cell and can differ from measured ones.

Atomic structure:
```
data_V2HRh8
_chemical_formula_sum 'V4 H2 Rh16'
_space_group_name_H-M_alt 'C 1 m 1'
_space_group_IT_number 8
_cell_length_a 7.006
_cell_length_b 12.023
_cell_length_c 4.434
_cell_angle_alpha 90.00
_cell_angle_beta 129.18
_cell_angle_gamma 90.00
loop_
_space_group_symop_operation_xyz
'x,y,z'
'x,-y,z'
'x+1/2,y+1/2,z'
'x+1/2,-y+1/2,z'
loop_
_atom_site_label
_atom_site_type_symbol
_atom_site_fract_x
_atom_site_fract_y
_atom_site_fract_z
V1 V 0.000 0.192 0.000
H1 H 0.000 0.500 0.002
Rh1 Rh 0.000 0.310 0.500
Rh2 Rh 0.241 0.000 0.241
Rh3 Rh 0.249 0.381 0.249
Rh4 Rh 0.251 0.119 0.751
Rh5 Rh 0.259 0.500 0.759
```

Main lines, most intense first (2θ from 10° to 90°):
hkl 1 3 1, d = 2.005 Å, rel. 100; hkl 1 5 -1, d = 2.114 Å, rel. 73; hkl 2 0 -2, d = 2.217 Å, rel. 51; hkl 2 2 0, d = 2.475 Å, rel. 35; hkl 0 8 2, d = 1.131 Å, rel. 22; hkl 3 5 1, d = 1.142 Å, rel. 21; hkl 0 2 2, d = 1.651 Å, rel. 20; hkl 2 8 0, d = 1.315 Å, rel. 17; hkl 3 5 -3, d = 1.259 Å, rel. 13; hkl 3 1 -1, d = 2.274 Å, rel. 11


11.
Simulated X-ray powder pattern
Compound: V4H6Rh7
Radiation: Cu Kα (weighted mean of Kα1 and Kα2)
Structure: a crystal structure in Alexandria, relaxed with GGA-PBE
Peak positions follow from Bragg's law for the DFT cell and can differ from measured ones.

Atomic structure:
```
data_V4H6Rh7
_chemical_formula_sum 'V8 H12 Rh14'
_space_group_name_H-M_alt 'C 1 2/m 1'
_space_group_IT_number 12
_cell_length_a 9.942
_cell_length_b 8.355
_cell_length_c 5.430
_cell_angle_alpha 90.00
_cell_angle_beta 123.10
_cell_angle_gamma 90.00
loop_
_space_group_symop_operation_xyz
'x,y,z'
'-x,-y,-z'
'-x,y,-z'
'x,-y,z'
'x+1/2,y+1/2,z'
'-x+1/2,-y+1/2,-z'
'-x+1/2,y+1/2,-z'
'x+1/2,-y+1/2,z'
loop_
_atom_site_label
_atom_site_type_symbol
_atom_site_fract_x
_atom_site_fract_y
_atom_site_fract_z
V1 V 0.250 0.250 0.000
V2 V 0.250 0.250 0.500
H1 H 0.000 0.142 0.000
H2 H 0.129 0.000 0.640
H3 H 0.176 0.500 0.353
Rh1 Rh 0.000 0.000 0.245
Rh2 Rh 0.000 0.276 0.500
Rh3 Rh 0.000 0.500 0.000
Rh4 Rh 0.212 0.500 0.718
```

Main lines, most intense first (2θ from 10° to 90°):
hkl 0 2 2, d = 1.997 Å, rel. 100; hkl 0 2 1, d = 3.075 Å, rel. 95; hkl 4 2 -1, d = 2.128 Å, rel. 91; hkl 3 1 -2, d = 2.466 Å, rel. 63; hkl 0 4 0, d = 2.089 Å, rel. 49; hkl 4 0 0, d = 2.082 Å, rel. 43; hkl 2 0 -1, d = 4.551 Å, rel. 42; hkl 6 2 -3, d = 1.426 Å, rel. 24; hkl 4 4 0, d = 1.475 Å, rel. 24; hkl 3 3 -2, d = 1.892 Å, rel. 22


12.
Simulated X-ray powder pattern
Compound: VH3Rh
Radiation: Cu Kα (weighted mean of Kα1 and Kα2)
Structure: a crystal structure in Alexandria, relaxed with GGA-PBE
Peak positions follow from Bragg's law for the DFT cell and can differ from measured ones.

Atomic structure:
```
data_VH3Rh
_chemical_formula_sum 'V8 H24 Rh8'
_space_group_name_H-M_alt 'C m c e'
_space_group_IT_number 64
_space_group_name_Hall '-C 2ac 2'
_cell_length_a 8.344
_cell_length_b 6.725
_cell_length_c 5.087
_cell_angle_alpha 90.00
_cell_angle_beta 90.00
_cell_angle_gamma 90.00
loop_
_atom_site_label
_atom_site_type_symbol
_atom_site_fract_x
_atom_site_fract_y
_atom_site_fract_z
V1 V 0.250 0.095 0.250
H1 H 0.000 0.075 0.235
H2 H 0.159 0.137 0.587
Rh1 Rh 0.000 0.178 0.892
```

Main lines, most intense first (2θ from 10° to 90°):
hkl 2 2 1, d = 2.328 Å, rel. 100; hkl 1 1 2, d = 2.288 Å, rel. 86; hkl 2 2 0, d = 2.618 Å, rel. 52; hkl 4 0 0, d = 2.086 Å, rel. 46; hkl 1 1 1, d = 3.649 Å, rel. 45; hkl 3 1 2, d = 1.808 Å, rel. 43; hkl 1 3 1, d = 1.992 Å, rel. 42; hkl 2 0 0, d = 4.172 Å, rel. 38; hkl 3 3 1, d = 1.651 Å, rel. 26; hkl 2 0 2, d = 2.172 Å, rel. 22


> Number 10 is which compound?

V2HRh8


Repeat the twelfth record exactly.
Simulated X-ray powder pattern
Compound: VH3Rh
Radiation: Cu Kα (weighted mean of Kα1 and Kα2)
Structure: a crystal structure in Alexandria, relaxed with GGA-PBE
Peak positions follow from Bragg's law for the DFT cell and can differ from measured ones.

Atomic structure:
```
data_VH3Rh
_chemical_formula_sum 'V8 H24 Rh8'
_space_group_name_H-M_alt 'C m c e'
_space_group_IT_number 64
_space_group_name_Hall '-C 2ac 2'
_cell_length_a 8.344
_cell_length_b 6.725
_cell_length_c 5.087
_cell_angle_alpha 90.00
_cell_angle_beta 90.00
_cell_angle_gamma 90.00
loop_
_atom_site_label
_atom_site_type_symbol
_atom_site_fract_x
_atom_site_fract_y
_atom_site_fract_z
V1 V 0.250 0.095 0.250
H1 H 0.000 0.075 0.235
H2 H 0.159 0.137 0.587
Rh1 Rh 0.000 0.178 0.892
```

Main lines, most intense first (2θ from 10° to 90°):
hkl 2 2 1, d = 2.328 Å, rel. 100; hkl 1 1 2, d = 2.288 Å, rel. 86; hkl 2 2 0, d = 2.618 Å, rel. 52; hkl 4 0 0, d = 2.086 Å, rel. 46; hkl 1 1 1, d = 3.649 Å, rel. 45; hkl 3 1 2, d = 1.808 Å, rel. 43; hkl 1 3 1, d = 1.992 Å, rel. 42; hkl 2 0 0, d = 4.172 Å, rel. 38; hkl 3 3 1, d = 1.651 Å, rel. 26; hkl 2 0 2, d = 2.172 Å, rel. 22